Record 1
The following is a calculated XRD peak list of Ba3Fe2N4. It was derived from the GGA-PBE geometry in Alexandria, using Cu Kα.
Neutral-atom scattering factors, no anomalous dispersion.

Peak list (10 most intense, 10° ≤ 2θ ≤ 90°, in order of rising 2θ)
Position (°2θ), I_rel
24.0, 27.9
25.5, 20.0
28.0, 61.8
29.9, 100.0
33.8, 37.5
36.0, 25.9
38.1, 27.4
40.2, 31.0
40.4, 24.9
44.6, 17.6

Atomic structure:
```
data_Ba3Fe2N4
_cell_length_a 7.595
_cell_length_b 7.595
_cell_length_c 5.635
_cell_angle_alpha 93.10
_cell_angle_beta 93.10
_cell_angle_gamma 72.13
_space_group_name_H-M_alt 'P 1'
_space_group_IT_number 1
loop_
_space_group_symop_operation_xyz
'x,y,z'
loop_
_atom_site_label
_atom_site_type_symbol
_atom_site_fract_x
_atom_site_fract_y
_atom_site_fract_z
Ba1 Ba 0.094 0.906 0.750
Ba2 Ba 0.236 0.505 0.441
Ba3 Ba 0.495 0.764 0.059
Ba4 Ba 0.505 0.236 0.941
Ba5 Ba 0.764 0.495 0.559
Ba6 Ba 0.906 0.094 0.250
Fe1 Fe 0.090 0.340 0.940
Fe2 Fe 0.340 0.090 0.440
Fe3 Fe 0.660 0.910 0.560
Fe4 Fe 0.910 0.660 0.060
N1 N 0.146 0.232 0.633
N2 N 0.157 0.560 0.959
N3 N 0.232 0.146 0.133
N4 N 0.440 0.843 0.541
N5 N 0.560 0.157 0.459
N6 N 0.768 0.854 0.867
N7 N 0.843 0.440 0.041
N8 N 0.854 0.768 0.367
```

***

Record 2
The following is a calculated XRD peak list of Li7ZnHg2. It was derived from the GGA-PBE geometry in Alexandria, using Cu Kα.
Neutral-atom scattering factors, no anomalous dispersion.

Peak list (10 most intense, 10° ≤ 2θ ≤ 90°, in order of rising 2θ)
Position (°2θ), I_rel
17.1, 28.3
24.3, 100.0
28.5, 40.0
34.6, 29.1
39.8, 30.3
41.8, 28.7
43.6, 22.9
47.1, 17.5
60.6, 13.8
63.4, 14.6

Atomic structure:
```
data_Li7ZnHg2
_cell_length_a 4.531
_cell_length_b 4.531
_cell_length_c 10.358
_cell_angle_alpha 90.00
_cell_angle_beta 90.00
_cell_angle_gamma 120.00
_space_group_name_H-M_alt 'P 1'
_space_group_IT_number 1
loop_
_space_group_symop_operation_xyz
'x,y,z'
loop_
_atom_site_label
_atom_site_type_symbol
_atom_site_fract_x
_atom_site_fract_y
_atom_site_fract_z
Li1 Li 0.000 0.000 0.000
Li2 Li 0.000 0.000 0.244
Li3 Li 0.000 0.000 0.492
Li4 Li 0.333 0.667 0.069
Li5 Li 0.333 0.667 0.637
Li6 Li 0.667 0.333 0.425
Li7 Li 0.667 0.333 0.861
Zn1 Zn 0.667 0.333 0.148
Hg1 Hg 0.000 0.000 0.746
Hg2 Hg 0.333 0.667 0.345
```

***

Record 3
The following is a calculated XRD peak list of Rb2Cd2ReO6. It was derived from the GGA-PBE geometry in Alexandria, using Cu Kα.
Neutral-atom scattering factors, no anomalous dispersion.

Peak list (10 most intense, 10° ≤ 2θ ≤ 90°, in order of rising 2θ)
Position (°2θ), I_rel
13.7, 100.0
18.0, 34.1
22.6, 27.9
27.6, 64.0
31.6, 40.6
32.2, 75.9
34.9, 52.0
36.4, 93.4
48.8, 33.4
53.8, 28.1

Atomic structure:
```
data_Rb2Cd2ReO6
_cell_length_a 5.792
_cell_length_b 5.792
_cell_length_c 6.802
_cell_angle_alpha 99.37
_cell_angle_beta 99.37
_cell_angle_gamma 117.95
_space_group_name_H-M_alt 'P 1'
_space_group_IT_number 1
loop_
_space_group_symop_operation_xyz
'x,y,z'
loop_
_atom_site_label
_atom_site_type_symbol
_atom_site_fract_x
_atom_site_fract_y
_atom_site_fract_z
Rb1 Rb 0.176 0.824 0.000
Rb2 Rb 0.824 0.176 0.000
Cd1 Cd 0.338 0.662 0.500
Cd2 Cd 0.662 0.338 0.500
Re1 Re 0.000 0.000 0.500
O1 O 0.054 0.335 0.670
O2 O 0.213 0.213 0.332
O3 O 0.335 0.054 0.670
O4 O 0.665 0.946 0.330
O5 O 0.787 0.787 0.668
O6 O 0.946 0.665 0.330
```

***

Record 4
The following is a calculated XRD peak list of Ac2Os2I. It was derived from the GGA-PBE geometry in Alexandria, using Cu Kα.
Neutral-atom scattering factors, no anomalous dispersion.

Peak list (10 most intense, 10° ≤ 2θ ≤ 90°, in order of rising 2θ)
Position (°2θ), I_rel
20.7, 21.5
28.3, 92.9
32.5, 100.0
35.9, 19.9
40.0, 40.7
41.8, 25.8
42.2, 19.1
50.6, 21.1
55.6, 23.1
59.2, 27.8

Atomic structure:
```
data_Ac2Os2I
_cell_length_a 10.387
_cell_length_b 10.387
_cell_length_c 10.387
_cell_angle_alpha 130.77
_cell_angle_beta 55.73
_cell_angle_gamma 155.53
_space_group_name_H-M_alt 'P 1'
_space_group_IT_number 1
loop_
_space_group_symop_operation_xyz
'x,y,z'
loop_
_atom_site_label
_atom_site_type_symbol
_atom_site_fract_x
_atom_site_fract_y
_atom_site_fract_z
Ac1 Ac 0.346 0.000 0.846
Ac2 Ac 0.346 0.500 0.346
Ac3 Ac 0.654 0.000 0.154
Ac4 Ac 0.654 0.500 0.654
Os1 Os 0.224 0.250 0.974
Os2 Os 0.224 0.750 0.474
Os3 Os 0.776 0.250 0.526
Os4 Os 0.776 0.750 0.026
I1 I 0.326 0.076 0.250
I2 I 0.674 0.924 0.750
```